Entry 1:
# BaTbMn2O6
Computed X-ray powder pattern, Cu Kα. Input: a DFT-relaxed cell (GGA+U, the Materials Project).
Intensities are scaled so that the largest is 100.

Structural model:
```
data_BaTbMn2O6
_chemical_formula_sum 'Ba4 Tb4 Mn8 O24'
_space_group_name_H-M_alt 'C m m m'
_space_group_IT_number 65
_space_group_name_Hall '-C 2 2'
_cell_length_a 7.806
_cell_length_b 7.950
_cell_length_c 7.808
_cell_angle_alpha 90.00
_cell_angle_beta 90.00
_cell_angle_gamma 90.00
loop_
_atom_site_label
_atom_site_fract_x
_atom_site_fract_y
_atom_site_fract_z
Ba1 0.000 0.246 0.000
Tb1 0.000 0.235 0.500
Mn1 0.249 0.500 0.258
O1 0.000 0.000 0.239
O2 0.000 0.500 0.313
O3 0.190 0.000 0.500
O4 0.228 0.500 0.000
O5 0.250 0.250 0.287
```

Peak list (12 most intense, 5 to 70 degrees two-theta, by angle)
- 22.37 deg, I = 9, (0 2 0)
- 22.78 deg, I = 19, (0 0 2)
- 32.14 deg, I = 100, (0 2 2)
- 32.44 deg, I = 52, (2 0 2)
- 39.76 deg, I = 29, (2 2 2)
- 45.65 deg, I = 16, (0 4 0)
- 46.53 deg, I = 30, (4 0 0)
- 52.21 deg, I = 5, (4 2 0)
- 57.11 deg, I = 19, (2 4 2)
- 57.68 deg, I = 42, (2 2 4)
- 67.23 deg, I = 17, (4 4 0)
- 67.92 deg, I = 8, (4 0 4)

Entry 2:
# Li4Ni3Sn2O10
Computed X-ray powder pattern, Cu Kα. Input: a DFT-relaxed cell (GGA+U, the Materials Project).
Intensities are scaled so that the largest is 100.

Structural model:
```
data_Li4Ni3Sn2O10
_chemical_formula_sum 'Li8 Ni6 Sn4 O20'
_space_group_name_H-M_alt 'P -1'
_space_group_IT_number 2
_space_group_name_Hall '-P 1'
_cell_length_a 6.652
_cell_length_b 8.002
_cell_length_c 8.061
_cell_angle_alpha 94.95
_cell_angle_beta 113.83
_cell_angle_gamma 90.72
loop_
_atom_site_label
_atom_site_fract_x
_atom_site_fract_y
_atom_site_fract_z
Li1 0.121 0.193 0.313
Li2 0.189 0.895 0.104
Li3 0.250 0.258 0.979
Li4 0.331 0.596 0.912
Ni1 0.000 0.500 0.500
Ni2 0.053 0.842 0.402
Ni3 0.454 0.652 0.598
Ni4 0.500 0.000 0.500
Sn1 0.171 0.550 0.198
Sn2 0.346 0.958 0.797
O1 0.039 0.662 0.956
O2 0.067 0.045 0.821
O3 0.086 0.369 0.723
O4 0.171 0.736 0.629
O5 0.215 0.046 0.534
O6 0.268 0.435 0.440
O7 0.326 0.773 0.362
O8 0.396 0.110 0.278
O9 0.424 0.446 0.157
O10 0.459 0.838 0.032
```

Peak list (12 most intense, 5 to 70 degrees two-theta, by angle)
- 12.06 deg, I = 26, (0 0 1)
- 17.90 deg, I = 48, (1 -1 0)
- 18.16 deg, I = 100, (1 1 -1)
- 22.33 deg, I = 30, (0 2 0)
- 26.02 deg, I = 30, (1 1 1)
- 34.92 deg, I = 35, (-2 2 1)
- 36.28 deg, I = 49, (1 -3 0)
- 36.79 deg, I = 22, (2 2 -2)
- 41.36 deg, I = 44, (0 2 -3)
- 42.66 deg, I = 42, (1 3 1)
- 42.87 deg, I = 44, (-3 1 2)
- 60.67 deg, I = 26, (1 1 4)

Please write out number 2 again, unchanged.
# Li4Ni3Sn2O10
Computed X-ray powder pattern, Cu Kα. Input: a DFT-relaxed cell (GGA+U, the Materials Project).
Intensities are scaled so that the largest is 100.

Structural model:
```
data_Li4Ni3Sn2O10
_chemical_formula_sum 'Li8 Ni6 Sn4 O20'
_space_group_name_H-M_alt 'P -1'
_space_group_IT_number 2
_space_group_name_Hall '-P 1'
_cell_length_a 6.652
_cell_length_b 8.002
_cell_length_c 8.061
_cell_angle_alpha 94.95
_cell_angle_beta 113.83
_cell_angle_gamma 90.72
loop_
_atom_site_label
_atom_site_fract_x
_atom_site_fract_y
_atom_site_fract_z
Li1 0.121 0.193 0.313
Li2 0.189 0.895 0.104
Li3 0.250 0.258 0.979
Li4 0.331 0.596 0.912
Ni1 0.000 0.500 0.500
Ni2 0.053 0.842 0.402
Ni3 0.454 0.652 0.598
Ni4 0.500 0.000 0.500
Sn1 0.171 0.550 0.198
Sn2 0.346 0.958 0.797
O1 0.039 0.662 0.956
O2 0.067 0.045 0.821
O3 0.086 0.369 0.723
O4 0.171 0.736 0.629
O5 0.215 0.046 0.534
O6 0.268 0.435 0.440
O7 0.326 0.773 0.362
O8 0.396 0.110 0.278
O9 0.424 0.446 0.157
O10 0.459 0.838 0.032
```

Peak list (12 most intense, 5 to 70 degrees two-theta, by angle)
- 12.06 deg, I = 26, (0 0 1)
- 17.90 deg, I = 48, (1 -1 0)
- 18.16 deg, I = 100, (1 1 -1)
- 22.33 deg, I = 30, (0 2 0)
- 26.02 deg, I = 30, (1 1 1)
- 34.92 deg, I = 35, (-2 2 1)
- 36.28 deg, I = 49, (1 -3 0)
- 36.79 deg, I = 22, (2 2 -2)
- 41.36 deg, I = 44, (0 2 -3)
- 42.66 deg, I = 42, (1 3 1)
- 42.87 deg, I = 44, (-3 1 2)
- 60.67 deg, I = 26, (1 1 4)